# 1
Structure and calculated powder diffraction line list of ZrCrCuS4 (a crystal structure in the Materials Project, relaxed with GGA-PBE; a wavelength of 1.5418 Å).

abc: 5.969 7.083 6.071
angles: 90.00 92.52 90.00
Fractional coordinates of all 14 atoms:
Zr  0.000  0.000  0.000
Zr  0.000  0.280  0.500
Cr  0.000  0.516  0.000
Cr  0.000  0.765  0.500
Cu  0.500  0.012  0.000
Cu  0.500  0.522  0.000
S  0.235  0.532  0.688
S  0.245  0.751  0.186
S  0.247  0.008  0.667
S  0.254  0.275  0.166
S  0.746  0.275  0.834
S  0.753  0.008  0.333
S  0.755  0.751  0.814
S  0.765  0.532  0.312

The 8 most intense peaks (10 to 90 degrees two-theta), sorted by position:
(1 0 0), 2θ = 14.86°, d = 5.963 Å, intensity 70.6; (0 2 1), 2θ = 29.20°, d = 3.058 Å, intensity 92.9; (1 0 -2), 2θ = 32.54°, d = 2.752 Å, intensity 53.5; (1 2 1), 2θ = 33.22°, d = 2.697 Å, intensity 99.7; (2 0 -2), 2θ = 41.53°, d = 2.174 Å, intensity 71.4; (2 2 -1), 2θ = 41.84°, d = 2.159 Å, intensity 97.3; (2 2 1), 2θ = 42.83°, d = 2.112 Å, intensity 100.0; (0 2 3), 2θ = 52.09°, d = 1.756 Å, intensity 79.6


# 2
Structure and calculated powder diffraction line list of ZrCrCuS4 (a crystal structure in the Materials Project, relaxed with GGA-PBE; a wavelength of 1.5418 Å).

abc: 3.564 11.411 12.730
angles: 90.00 90.00 90.00
Fractional coordinates of all 28 atoms:
Zr  0.000  0.142  0.000
Zr  0.000  0.688  0.188
Zr  0.500  0.312  0.688
Zr  0.500  0.858  0.500
Cr  0.000  0.210  0.458
Cr  0.000  0.677  0.669
Cr  0.500  0.323  0.169
Cr  0.500  0.790  0.958
Cu  0.000  0.462  0.388
Cu  0.000  0.984  0.217
Cu  0.500  0.016  0.717
Cu  0.500  0.538  0.888
S  0.000  0.160  0.639
S  0.000  0.297  0.288
S  0.000  0.356  0.043
S  0.000  0.458  0.750
S  0.000  0.640  0.997
S  0.000  0.835  0.357
S  0.000  0.886  0.647
S  0.000  0.923  0.927
S  0.500  0.077  0.427
S  0.500  0.114  0.147
S  0.500  0.165  0.857
S  0.500  0.360  0.497
S  0.500  0.542  0.250
S  0.500  0.644  0.543
S  0.500  0.703  0.788
S  0.500  0.840  0.139

The 8 most intense peaks (10 to 90 degrees two-theta), sorted by position:
(0 3 2), 2θ = 27.31°, d = 3.265 Å, intensity 100.0; (1 1 2), 2θ = 29.78°, d = 3.001 Å, intensity 86.0; (1 0 3), 2θ = 32.80°, d = 2.730 Å, intensity 73.0; (1 1 4), 2θ = 38.74°, d = 2.324 Å, intensity 51.1; (1 4 0), 2θ = 40.50°, d = 2.227 Å, intensity 55.4; (1 4 1), 2θ = 41.16°, d = 2.193 Å, intensity 64.5; (1 4 4), 2θ = 49.99°, d = 1.825 Å, intensity 50.5; (2 0 0), 2θ = 51.26°, d = 1.782 Å, intensity 52.8


# 3
Structure and calculated powder diffraction line list of ZrCrCuS4 (a crystal structure in the Materials Project, relaxed with GGA-PBE; a wavelength of 1.5418 Å).

abc: 11.537 3.558 12.654
angles: 90.00 90.00 90.00
Fractional coordinates of all 28 atoms:
Zr  0.149  0.250  0.175
Zr  0.351  0.750  0.675
Zr  0.649  0.250  0.325
Zr  0.851  0.750  0.825
Cr  0.110  0.250  0.565
Cr  0.390  0.750  0.065
Cr  0.610  0.250  0.935
Cr  0.890  0.750  0.435
Cu  0.109  0.750  0.986
Cu  0.391  0.250  0.486
Cu  0.609  0.750  0.514
Cu  0.891  0.250  0.014
S  0.006  0.250  0.869
S  0.021  0.250  0.389
S  0.215  0.250  0.736
S  0.243  0.750  0.502
S  0.257  0.250  0.002
S  0.285  0.750  0.236
S  0.479  0.750  0.889
S  0.494  0.750  0.369
S  0.506  0.250  0.631
S  0.521  0.250  0.111
S  0.715  0.250  0.764
S  0.743  0.750  0.998
S  0.757  0.250  0.498
S  0.785  0.750  0.264
S  0.979  0.750  0.611
S  0.994  0.750  0.131

The 8 most intense peaks (10 to 90 degrees two-theta), sorted by position:
(1 0 1), 2θ = 10.38°, d = 8.525 Å, intensity 43.2; (1 0 2), 2θ = 15.98°, d = 5.547 Å, intensity 100.0; (2 1 2), 2θ = 32.79°, d = 2.731 Å, intensity 49.6; (3 1 1), 2θ = 35.08°, d = 2.558 Å, intensity 70.6; (3 1 2), 2θ = 37.25°, d = 2.414 Å, intensity 95.0; (2 0 5), 2θ = 38.86°, d = 2.318 Å, intensity 37.6; (3 1 3), 2θ = 40.63°, d = 2.220 Å, intensity 55.2; (0 2 0), 2θ = 51.36°, d = 1.779 Å, intensity 40.3